Record 1
Computed PXRD pattern of Ba2HoCu3O7 for Cu Kα, from a PBE-relaxed structure.

Most intense lines, 10 to 90 degrees two-theta, in order of rising 2θ:
Position (°2θ)	I_rel
32.2	91
32.6	100
32.7	94
40.1	30
46.0	18
46.4	28
47.4	26
57.6	36
57.8	38
58.5	33

```
data_Ba2HoCu3O7
_cell_length_a 3.8340
_cell_length_b 3.9136
_cell_length_c 11.8283
_cell_angle_alpha 90.00
_cell_angle_beta 90.00
_cell_angle_gamma 90.00
_symmetry_space_group_name_H-M 'P m m m'
_symmetry_Int_Tables_number 47
loop_
_symmetry_equiv_pos_as_xyz
'x,y,z'
'-x,-y,-z'
'-x,-y,z'
'x,y,-z'
'x,-y,-z'
'-x,y,z'
'-x,y,-z'
'x,-y,z'
loop_
_atom_site_label
_atom_site_fract_x
_atom_site_fract_y
_atom_site_fract_z
Ba1 0.0000 0.0000 0.1810
Ho1 0.0000 0.0000 0.5000
Cu1 0.5000 0.5000 0.0000
Cu2 0.5000 0.5000 0.3541
O1 0.0000 0.5000 0.3813
O2 0.5000 0.0000 0.0000
O3 0.5000 0.0000 0.3799
O4 0.5000 0.5000 0.1589
```

Record 2
Computed PXRD pattern of Y2NiHRh6 for Cu Kα, from a PBE-relaxed structure.

Most intense lines, 10 to 90 degrees two-theta, in order of rising 2θ:
Position (°2θ)	I_rel
30.1	18
31.3	26
35.8	37
38.9	100
40.1	32
42.9	76
45.6	14
57.2	12
63.0	20
67.8	29

```
data_Y2NiHRh6
_cell_length_a 9.5786
_cell_length_b 5.5341
_cell_length_c 6.7447
_cell_angle_alpha 90.00
_cell_angle_beta 118.27
_cell_angle_gamma 90.00
_symmetry_space_group_name_H-M 'C 1 2/m 1'
_symmetry_Int_Tables_number 12
loop_
_symmetry_equiv_pos_as_xyz
'x,y,z'
'-x,-y,-z'
'-x,y,-z'
'x,-y,z'
'x+1/2,y+1/2,z'
'-x+1/2,-y+1/2,-z'
'-x+1/2,y+1/2,-z'
'x+1/2,-y+1/2,z'
loop_
_atom_site_label
_atom_site_fract_x
_atom_site_fract_y
_atom_site_fract_z
Y1 0.2144 0.0000 0.1426
Ni1 0.0000 0.5000 0.0000
H1 0.0000 0.0000 0.5000
Rh1 0.0272 0.2579 0.3225
Rh2 0.2310 0.0000 0.6787
```

What did the second record say?
Computed PXRD pattern of Y2NiHRh6 for Cu Kα, from a PBE-relaxed structure.

Most intense lines, 10 to 90 degrees two-theta, in order of rising 2θ:
Position (°2θ)	I_rel
30.1	18
31.3	26
35.8	37
38.9	100
40.1	32
42.9	76
45.6	14
57.2	12
63.0	20
67.8	29

```
data_Y2NiHRh6
_cell_length_a 9.5786
_cell_length_b 5.5341
_cell_length_c 6.7447
_cell_angle_alpha 90.00
_cell_angle_beta 118.27
_cell_angle_gamma 90.00
_symmetry_space_group_name_H-M 'C 1 2/m 1'
_symmetry_Int_Tables_number 12
loop_
_symmetry_equiv_pos_as_xyz
'x,y,z'
'-x,-y,-z'
'-x,y,-z'
'x,-y,z'
'x+1/2,y+1/2,z'
'-x+1/2,-y+1/2,-z'
'-x+1/2,y+1/2,-z'
'x+1/2,-y+1/2,z'
loop_
_atom_site_label
_atom_site_fract_x
_atom_site_fract_y
_atom_site_fract_z
Y1 0.2144 0.0000 0.1426
Ni1 0.0000 0.5000 0.0000
H1 0.0000 0.0000 0.5000
Rh1 0.0272 0.2579 0.3225
Rh2 0.2310 0.0000 0.6787
```